Theoretical PXRD pattern
Compound: Li7Mn5O12
Radiation: λ = 1.5418 Å (Cu Kα)
Structure: a crystal structure in the Materials Project, relaxed with PBE+U

Largest 8 diffraction maxima, by angle, 5° ≤ 2θ ≤ 70°:
d 14.589, 2θ = 6.06°, rel. 30; d 4.863, 2θ = 18.24°, rel. 100; d 2.648, 2θ = 33.85°, rel. 19; d 2.483, 2θ = 36.17°, rel. 23; d 2.202, 2θ = 40.98°, rel. 36; d 2.058, 2θ = 44.00°, rel. 58; d 1.513, 2θ = 61.25°, rel. 17; d 1.494, 2θ = 62.12°, rel. 17

Crystal structure
```
24
Lattice="5.3472 0.0000 0.0000 0.0000 2.8712 0.0000 -0.6498 0.0000 14.5889" Properties=species:S:1:pos:R:3 pbc="T T T"
Li 0.0000 0.0000 0.0000
Li -0.3249 0.0000 7.2944
Li 0.6155 1.4356 5.0261
Li 1.4136 0.0000 9.5966
Li 2.6736 1.4356 0.0000
Li 3.2838 0.0000 4.9923
Li 4.0819 1.4356 9.5628
Mn 0.3651 1.4356 12.1203
Mn 1.6563 0.0000 2.4405
Mn 2.3487 1.4356 7.2944
Mn 3.0411 0.0000 12.1484
Mn 4.3322 1.4356 2.4686
O -0.3811 0.0000 11.0166
O 0.9376 1.4356 1.2972
O 0.7561 1.4356 8.3762
O 1.0711 0.0000 13.2806
O 1.5897 0.0000 6.1925
O 2.3966 1.4356 3.5322
O 2.3008 1.4356 11.0567
O 3.1077 0.0000 8.3963
O 3.6263 0.0000 1.3083
O 3.9412 1.4356 6.2127
O 3.7598 1.4356 13.2917
O 5.0784 0.0000 3.5723
```



Theoretical PXRD pattern
Compound: MgCrCo2O6
Radiation: λ = 1.5418 Å (Cu Kα)
Structure: a crystal structure in the Materials Project, relaxed with PBE+U

Largest 8 diffraction maxima, by angle, 5° ≤ 2θ ≤ 70°:
d 5.022, 2θ = 17.66°, rel. 100; d 2.565, 2θ = 34.98°, rel. 18; d 2.540, 2θ = 35.34°, rel. 19; d 2.448, 2θ = 36.71°, rel. 22; d 2.170, 2θ = 41.61°, rel. 17; d 2.118, 2θ = 42.68°, rel. 17; d 2.054, 2θ = 44.10°, rel. 14; d 1.457, 2θ = 63.88°, rel. 10

Crystal structure
```
10
Lattice="3.0234 0.0000 0.0000 -0.1529 6.0929 0.0000 -1.3795 -1.8603 6.1609" Properties=species:S:1:pos:R:3 pbc="T T T"
Mg 0.0000 0.0000 0.0000
Cr 1.5177 3.2175 1.0518
Co -0.0052 4.6389 3.1347
Co 1.6533 0.4968 4.8588
O 0.0066 1.9276 0.6980
O 0.0068 4.5702 1.2335
O 0.1347 -1.2952 4.9987
O 0.1489 1.6228 5.2173
O 1.5176 3.4340 3.0409
O 1.6586 -0.2109 3.1249
```



Repeat the first record exactly.
Theoretical PXRD pattern
Compound: Li7Mn5O12
Radiation: λ = 1.5418 Å (Cu Kα)
Structure: a crystal structure in the Materials Project, relaxed with PBE+U

Largest 8 diffraction maxima, by angle, 5° ≤ 2θ ≤ 70°:
d 14.589, 2θ = 6.06°, rel. 30; d 4.863, 2θ = 18.24°, rel. 100; d 2.648, 2θ = 33.85°, rel. 19; d 2.483, 2θ = 36.17°, rel. 23; d 2.202, 2θ = 40.98°, rel. 36; d 2.058, 2θ = 44.00°, rel. 58; d 1.513, 2θ = 61.25°, rel. 17; d 1.494, 2θ = 62.12°, rel. 17

Crystal structure
```
24
Lattice="5.3472 0.0000 0.0000 0.0000 2.8712 0.0000 -0.6498 0.0000 14.5889" Properties=species:S:1:pos:R:3 pbc="T T T"
Li 0.0000 0.0000 0.0000
Li -0.3249 0.0000 7.2944
Li 0.6155 1.4356 5.0261
Li 1.4136 0.0000 9.5966
Li 2.6736 1.4356 0.0000
Li 3.2838 0.0000 4.9923
Li 4.0819 1.4356 9.5628
Mn 0.3651 1.4356 12.1203
Mn 1.6563 0.0000 2.4405
Mn 2.3487 1.4356 7.2944
Mn 3.0411 0.0000 12.1484
Mn 4.3322 1.4356 2.4686
O -0.3811 0.0000 11.0166
O 0.9376 1.4356 1.2972
O 0.7561 1.4356 8.3762
O 1.0711 0.0000 13.2806
O 1.5897 0.0000 6.1925
O 2.3966 1.4356 3.5322
O 2.3008 1.4356 11.0567
O 3.1077 0.0000 8.3963
O 3.6263 0.0000 1.3083
O 3.9412 1.4356 6.2127
O 3.7598 1.4356 13.2917
O 5.0784 0.0000 3.5723
```